Entry 1:
Structure and calculated PXRD pattern of BaBe4Re (a PBE-relaxed structure; Cu Kα X-rays).
Lines closer than 0.1° are merged.

Cell and atoms:
Lattice parameters (Å, degrees): 6.9297 6.9297 6.9297 90.00 90.00 90.00
Space group F-43m (No. 216)
Unique sites:
Ba: 0.0000 0.0000 0.0000 [4 per cell]
Be: 0.1192 0.1192 0.6192 [16 per cell]
Re: 0.2500 0.2500 0.2500 [4 per cell]

Largest 9 diffraction maxima, low angle first, 5 to 70 degrees two-theta:
(1 1 1), 22.22 deg, rel. 100; (2 0 0), 25.71 deg, rel. 3; (2 2 0), 36.68 deg, rel. 93; (3 1 1), 43.30 deg, rel. 66; (2 2 2), 45.33 deg, rel. 1; (4 0 0), 52.85 deg, rel. 14; (3 3 1), 58.02 deg, rel. 23; (4 2 0), 59.67 deg, rel. 1; (4 2 2), 66.05 deg, rel. 33

=====

Entry 2:
Structure and calculated PXRD pattern of BaUBeS4 (a PBE-relaxed structure; Cu Kα X-rays).
Lines closer than 0.1° are merged.

Cell and atoms:
Lattice parameters (Å, degrees): 6.1858 6.4430 8.5120 90.00 108.83 90.00
Space group P2_1/m (No. 11)
Unique sites:
Ba: 0.2385 0.2500 0.4346 [2 per cell]
U: 0.2711 0.2500 0.9460 [2 per cell]
Be: 0.2799 0.7500 0.1765 [2 per cell]
S: 0.0733 0.7500 0.9286 [2 per cell]
S: 0.0920 0.7500 0.3436 [2 per cell]
S: 0.4928 0.5023 0.7838 [4 per cell]

Largest 10 diffraction maxima, low angle first, 5 to 70 degrees two-theta:
(0 0 1), 10.98 deg, rel. 30; (1 1 0), 20.50 deg, rel. 100; (1 1 -2), 26.37 deg, rel. 23; (0 2 0), 27.69 deg, rel. 33; (2 0 -2), 31.45 deg, rel. 20; (1 1 2), 33.81 deg, rel. 32; (2 1 -2), 34.46 deg, rel. 26; (0 2 2), 35.69 deg, rel. 28; (1 2 -2), 35.90 deg, rel. 29; (2 2 0), 41.69 deg, rel. 25

=====

Entry 3:
Structure and calculated PXRD pattern of Ba2UBeS6 (a PBE-relaxed structure; Cu Kα X-rays).
Lines closer than 0.1° are merged.

Cell and atoms:
Lattice parameters (Å, degrees): 6.8922 6.8922 5.8925 90.00 90.00 120.00
Space group P-3m1 (No. 164)
Unique sites:
Ba: 0.3333 0.6667 0.2729 [2 per cell]
U: 0.0000 0.0000 0.0000 [1 per cell]
Be: 0.0000 0.0000 0.5000 [1 per cell]
S: 0.1644 0.3288 0.7289 [6 per cell]

Largest 10 diffraction maxima, low angle first, 5 to 70 degrees two-theta:
(1 0 0), 14.84 deg, rel. 27; (0 1 1), 21.19 deg, rel. 100; (1 1 0), 25.85 deg, rel. 69; (1 1 1), 30.04 deg, rel. 19; (2 0 1), 33.66 deg, rel. 86; (1 0 2), 33.93 deg, rel. 41; (1 2 1), 42.93 deg, rel. 33; (0 2 2), 43.15 deg, rel. 42; (2 1 2), 50.98 deg, rel. 28; (2 2 0), 53.16 deg, rel. 24

=====

Entry 4:
Structure and calculated PXRD pattern of BaSc2Be (a PBE-relaxed structure; Cu Kα X-rays).
Lines closer than 0.1° are merged.

Cell and atoms:
Lattice parameters (Å, degrees): 4.4107 4.4107 20.5714 90.00 90.00 120.00
Space group R3m (No. 160, hexagonal axes)
Unique sites:
Ba: 0.0000 0.0000 0.0000 [3 per cell]
Sc: 0.0000 0.0000 0.5447 [3 per cell]
Sc: 0.0000 0.0000 0.7942 [3 per cell]
Be: 0.0000 0.0000 0.1795 [3 per cell]

Largest 10 diffraction maxima, low angle first, 5 to 70 degrees two-theta:
(0 0 3), 12.91 deg, rel. 21; (1 0 1), 23.69 deg, rel. 64; (0 1 2), 24.87 deg, rel. 70; (0 0 6), 25.99 deg, rel. 24; (1 0 4), 29.12 deg, rel. 100; (0 1 5), 31.97 deg, rel. 75; (1 1 0), 40.92 deg, rel. 58; (1 1 6), 49.12 deg, rel. 25; (0 2 4), 51.01 deg, rel. 20; (1 1 9), 58.12 deg, rel. 28

=====

Entry 5:
Structure and calculated PXRD pattern of BaSrBe (a PBE-relaxed structure; Cu Kα X-rays).
Lines closer than 0.1° are merged.

Cell and atoms:
Lattice parameters (Å, degrees): 3.9408 3.9408 14.5454 90.00 90.00 90.00
Space group I4mm (No. 107)
Unique sites:
Ba: 0.0000 0.0000 0.0000 [2 per cell]
Sr: 0.0000 0.0000 0.7488 [2 per cell]
Be: 0.0000 0.0000 0.3658 [2 per cell]

Largest 10 diffraction maxima, low angle first, 5 to 70 degrees two-theta:
(1 0 1), 23.39 deg, rel. 100; (0 0 4), 24.48 deg, rel. 45; (1 0 3), 29.20 deg, rel. 70; (1 1 0), 32.12 deg, rel. 50; (1 0 5), 38.46 deg, rel. 31; (1 1 4), 40.80 deg, rel. 46; (2 0 0), 46.06 deg, rel. 18; (2 1 1), 52.29 deg, rel. 22; (2 0 4), 52.85 deg, rel. 22; (2 1 3), 55.48 deg, rel. 22

=====

Entry 6:
Structure and calculated PXRD pattern of Ba2BeTe (a PBE-relaxed structure; Cu Kα X-rays).
Lines closer than 0.1° are merged.

Cell and atoms:
Lattice parameters (Å, degrees): 4.3604 8.8072 9.3927 111.14 103.41 91.00
Space group P1 (No. 1)
Unique sites:
Ba: 0.0000 0.0000 0.0000 [1 per cell]
Ba: 0.0633 0.5464 0.0221 [1 per cell]
Ba: 0.2726 0.8086 0.5254 [1 per cell]
Ba: 0.7709 0.2946 0.5547 [1 per cell]
Be: 0.4383 0.6352 0.7599 [1 per cell]
Be: 0.9258 0.6612 0.7336 [1 per cell]
Te: 0.4272 0.2055 0.8276 [1 per cell]
Te: 0.6506 0.8880 0.2583 [1 per cell]

Largest 10 diffraction maxima, low angle first, 5 to 70 degrees two-theta:
(0 1 -1), 11.91 deg, rel. 57; (1 -1 1), 25.54 deg, rel. 64; (1 1 -2), 25.71 deg, rel. 89; (0 2 1), 27.59 deg, rel. 100; (1 -2 0), 28.70 deg, rel. 39; (1 2 -2), 30.08 deg, rel. 65; (0 2 -3), 31.03 deg, rel. 86; (1 0 -3), 33.38 deg, rel. 39; (0 4 -2), 41.28 deg, rel. 37; (2 0 -1), 41.43 deg, rel. 45

=====

Entry 7:
Structure and calculated PXRD pattern of BaBeTl (a PBE-relaxed structure; Cu Kα X-rays).
Lines closer than 0.1° are merged.

Cell and atoms:
Lattice parameters (Å, degrees): 4.4220 4.4220 5.3072 90.00 90.00 120.00
Space group P-6m2 (No. 187)
Unique sites:
Ba: 0.0000 0.0000 0.0000 [1 per cell]
Be: 0.6667 0.3333 0.5000 [1 per cell]
Tl: 0.3333 0.6667 0.5000 [1 per cell]

Largest 10 diffraction maxima, low angle first, 5 to 70 degrees two-theta:
(1 0 0), 23.23 deg, rel. 29; (1 0 1), 28.75 deg, rel. 100; (0 0 2), 33.78 deg, rel. 15; (1 1 0), 40.81 deg, rel. 27; (1 0 2), 41.40 deg, rel. 13; (2 0 1), 50.68 deg, rel. 21; (1 1 2), 53.98 deg, rel. 24; (1 0 3), 57.37 deg, rel. 15; (2 0 2), 59.54 deg, rel. 5; (2 1 1), 67.02 deg, rel. 18

=====

Entry 8:
Structure and calculated PXRD pattern of Ba2BeW4 (a PBE-relaxed structure; Cu Kα X-rays).
Lines closer than 0.1° are merged.

Cell and atoms:
Lattice parameters (Å, degrees): 4.3022 4.3022 19.5684 90.00 90.00 90.00
Space group I4/mmm (No. 139)
Unique sites:
Ba: 0.0000 0.0000 0.1682 [4 per cell]
Be: 0.0000 0.0000 0.5000 [2 per cell]
W: 0.0000 0.0000 0.3981 [4 per cell]
W: 0.0000 0.5000 0.0000 [4 per cell]

Largest 10 diffraction maxima, low angle first, 5 to 70 degrees two-theta:
(0 0 2), 9.04 deg, rel. 100; (1 0 1), 21.14 deg, rel. 15; (1 1 2), 30.78 deg, rel. 33; (1 0 5), 30.89 deg, rel. 54; (1 1 4), 34.72 deg, rel. 97; (2 0 0), 42.00 deg, rel. 46; (1 0 9), 46.82 deg, rel. 23; (2 1 5), 53.04 deg, rel. 24; (2 2 0), 60.91 deg, rel. 16; (2 1 9), 64.69 deg, rel. 18